(1)
Diffraction record for LiNbHg. The X-ray diffraction stick pattern is simulated, not measured: it uses DFT lattice parameters and positions (GGA-PBE) and copper Kα.

Top 10 peaks for 2θ = 10–90°, sorted by position:
| 2θ (°) | I_rel |
| --- | --- |
| 12.99 | 67 |
| 26.16 | 16 |
| 31.89 | 38 |
| 33.92 | 12 |
| 37.08 | 100 |
| 39.40 | 21 |
| 39.69 | 20 |
| 57.17 | 22 |
| 69.92 | 16 |
| 70.31 | 14 |

Atomic structure:
```
6
Lattice="1.8402 -2.2872 0.0000 1.8402 2.2872 0.0000 0.0000 0.0000 13.6257" Properties=species:S:1:pos:R:3 pbc="T T T"
Li 1.8402 1.1436 12.4003
Li 1.8402 -1.1436 1.2253
Nb 1.8402 1.1436 7.8938
Nb 1.8402 -1.1436 5.7318
Hg 1.8402 1.1436 3.3108
Hg 1.8402 -1.1436 10.3148
```

***

(2)
Diffraction record for Li7NdHg4. The X-ray diffraction stick pattern is simulated, not measured: it uses DFT lattice parameters and positions (GGA-PBE) and copper Kα.

Top 10 peaks for 2θ = 10–90°, sorted by position:
| 2θ (°) | I_rel |
| --- | --- |
| 13.24 | 22 |
| 19.43 | 42 |
| 26.68 | 38 |
| 27.16 | 100 |
| 27.73 | 21 |
| 35.47 | 29 |
| 38.99 | 20 |
| 39.42 | 20 |
| 40.28 | 24 |
| 41.90 | 17 |

Atomic structure:
```
12
Lattice="6.7588 -2.5308 0.0000 6.7588 2.5308 0.0000 -5.6882 0.0000 7.1861" Properties=species:S:1:pos:R:3 pbc="T T T"
Li 0.0000 0.0000 0.0000
Li -1.1402 0.0000 4.4739
Li 3.0826 0.0000 0.9509
Li 2.6867 0.0000 4.2991
Li 5.1426 0.0000 2.8869
Li 4.7467 0.0000 6.2352
Li 8.9694 0.0000 2.7122
Nd 6.7588 0.0000 0.0000
Hg -3.5282 0.0000 5.6326
Hg 0.7393 0.0000 2.4804
Hg 7.0900 0.0000 4.7057
Hg 11.3575 0.0000 1.5535
```

***

(3)
Diffraction record for LiNd3Hg. The X-ray diffraction stick pattern is simulated, not measured: it uses DFT lattice parameters and positions (GGA-PBE) and copper Kα.

Top 10 peaks for 2θ = 10–90°, sorted by position:
| 2θ (°) | I_rel |
| --- | --- |
| 11.29 | 95 |
| 28.42 | 39 |
| 28.79 | 27 |
| 29.24 | 26 |
| 31.51 | 100 |
| 32.39 | 49 |
| 34.09 | 67 |
| 34.54 | 27 |
| 34.77 | 29 |
| 35.99 | 32 |

Atomic structure:
```
20
Lattice="8.1116 0.0000 0.0000 0.0000 6.8545 0.0000 -2.8450 0.0000 10.7297" Properties=species:S:1:pos:R:3 pbc="T T T"
Li 0.2831 1.4703 0.2451
Li -1.1394 1.9569 5.6100
Li 6.4060 4.8976 5.1197
Li 4.9835 5.3841 10.4846
Nd 0.6308 3.5237 2.8890
Nd -0.7917 6.7580 8.2538
Nd 1.0583 0.1087 3.8671
Nd -0.3642 3.3185 9.2320
Nd 1.4584 4.5842 6.3804
Nd 2.8810 5.6975 1.0155
Nd 2.3856 1.1569 9.7142
Nd 3.8082 2.2703 4.3494
Nd 5.6308 3.5360 1.4978
Nd 4.2083 6.7457 6.8626
Nd 6.0583 0.0964 2.4759
Nd 4.6358 3.3308 7.8408
Hg 1.4893 1.5079 6.6629
Hg 2.9118 1.9194 1.2980
Hg 2.3548 4.9351 9.4317
Hg 3.7773 5.3466 4.0668
```